Entry 1:
Diffraction record for SrAg4. The PXRD pattern is theoretical, not measured: it uses a GGA-PBE-relaxed structure and Cu Kα, 1.54184 Å.
Peak positions follow from Bragg's law for the DFT cell and can differ from measured ones.

Structure:
a b c (Å): 8.515 8.515 8.515
angles (deg): 109.47 109.47 109.47
Element x y z (fractional)
1 Sr 0.000 0.000 0.431
2 Sr 0.000 0.431 0.000
3 Sr 0.431 0.000 0.000
4 Sr 0.569 0.569 0.569
5 Ag 0.000 0.000 0.795
6 Ag 0.000 0.354 0.354
7 Ag 0.000 0.646 0.646
8 Ag 0.000 0.795 0.000
9 Ag 0.205 0.205 0.205
10 Ag 0.250 0.500 0.750
11 Ag 0.250 0.750 0.500
12 Ag 0.354 0.000 0.354
13 Ag 0.354 0.354 0.000
14 Ag 0.500 0.250 0.750
15 Ag 0.500 0.750 0.250
16 Ag 0.646 0.000 0.646
17 Ag 0.646 0.646 0.000
18 Ag 0.750 0.250 0.500
19 Ag 0.750 0.500 0.250
20 Ag 0.795 0.000 0.000

Peak list (10 most intense, 2θ from 5° to 70°, sorted by position)
two_theta	I (rel.)
18.04	27
31.52	70
34.12	47
36.56	16
38.86	100
43.16	20
47.13	15
52.66	17
57.81	25
67.34	16

=====

Entry 2:
Diffraction record for Sr4Ag. The PXRD pattern is theoretical, not measured: it uses a GGA-PBE-relaxed structure and Cu Kα, 1.54184 Å.
Peak positions follow from Bragg's law for the DFT cell and can differ from measured ones.

Structure:
a b c (Å): 8.821 8.515 10.568
angles (deg): 53.77 51.13 75.10
Element x y z (fractional)
1 Sr 0.210 0.299 0.952
2 Sr 0.214 0.786 0.456
3 Sr 0.298 0.711 0.040
4 Sr 0.299 0.210 0.539
5 Sr 0.706 0.794 0.464
6 Sr 0.711 0.298 0.951
7 Sr 0.786 0.214 0.544
8 Sr 0.794 0.706 0.036
9 Ag 0.246 0.246 0.254
10 Ag 0.996 0.996 0.004

Peak list (10 most intense, 2θ from 5° to 70°, sorted by position)
two_theta	I (rel.)
13.11	20
16.80	12
24.41	12
26.36	100
34.01	46
40.92	24
41.08	12
44.18	26
49.44	12
66.55	11

=====

Entry 3:
Diffraction record for Sr2Ag. The PXRD pattern is theoretical, not measured: it uses a GGA-PBE-relaxed structure and Cu Kα, 1.54184 Å.
Peak positions follow from Bragg's law for the DFT cell and can differ from measured ones.

Structure:
a b c (Å): 7.926 7.926 7.926
angles (deg): 90.00 90.00 90.00
Element x y z (fractional)
1 Sr 0.159 0.159 0.159
2 Sr 0.159 0.341 0.659
3 Sr 0.341 0.659 0.159
4 Sr 0.341 0.841 0.659
5 Sr 0.659 0.159 0.341
6 Sr 0.659 0.341 0.841
7 Sr 0.841 0.659 0.341
8 Sr 0.841 0.841 0.841
9 Ag 0.000 0.000 0.500
10 Ag 0.000 0.500 0.000
11 Ag 0.500 0.000 0.000
12 Ag 0.500 0.500 0.500

Peak list (10 most intense, 2θ from 5° to 70°, sorted by position)
two_theta	I (rel.)
19.40	49
25.12	99
27.56	46
31.93	60
33.93	16
37.64	100
42.68	47
51.56	38
52.94	14
60.71	32

=====

Entry 4:
Diffraction record for Sr8Ag. The PXRD pattern is theoretical, not measured: it uses a GGA-PBE-relaxed structure and Cu Kα, 1.54184 Å.
Peak positions follow from Bragg's law for the DFT cell and can differ from measured ones.

Structure:
a b c (Å): 10.055 10.055 10.055
angles (deg): 92.92 92.92 153.91
Element x y z (fractional)
1 Sr 0.000 0.336 0.336
2 Sr 0.000 0.664 0.664
3 Sr 0.336 0.000 0.336
4 Sr 0.351 0.351 0.702
5 Sr 0.351 0.649 0.000
6 Sr 0.649 0.351 0.000
7 Sr 0.649 0.649 0.298
8 Sr 0.664 0.000 0.664
9 Ag 0.000 0.000 0.000

Peak list (10 most intense, 2θ from 5° to 70°, sorted by position)
two_theta	I (rel.)
27.31	49
27.55	100
39.01	17
39.71	10
48.43	34
48.87	19
56.89	11
63.74	6
63.86	6
64.84	9